Gd2Al2O5: theoretical XRD peak list (Cu Kα, 1.54184 Å), based on the GGA-PBE geometry in OQMD.

Main lines, sorted by position (2θ = 5–70°):
| d_spacing | 2θ (°) | I/Imax |
| --- | --- | --- |
| 3.724 | 23.89 | 61.5 |
| 3.541 | 25.15 | 19.8 |
| 2.633 | 34.04 | 44.0 |
| 2.566 | 34.96 | 100.0 |
| 2.113 | 42.79 | 53.5 |
| 1.862 | 48.91 | 30.8 |
| 1.770 | 51.63 | 12.7 |
| 1.666 | 55.14 | 13.4 |
| 1.507 | 61.53 | 39.6 |
| 1.469 | 63.29 | 15.4 |

Structural model:
Cell: 3.7243 3.7243 7.0819 Å, 90.00 90.00 90.00°
Space group P4/mmm (No. 123)
One atom of each set of equivalent atoms:
Gd  0.0000  0.0000  0.0000
Gd  0.0000  0.0000  0.5000
Al  0.5000  0.5000  0.2344
O  0.0000  0.5000  0.2432
O  0.5000  0.5000  0.5000



Pr2SmZn4Si4: theoretical XRD peak list (Cu Kα, 1.54184 Å), based on the GGA-PBE geometry in OQMD.

Main lines, sorted by position (2θ = 5–70°):
| d_spacing | 2θ (°) | I/Imax |
| --- | --- | --- |
| 3.728 | 23.87 | 24.2 |
| 3.094 | 28.85 | 10.4 |
| 2.698 | 33.21 | 43.7 |
| 2.665 | 33.63 | 100.0 |
| 2.298 | 39.21 | 10.3 |
| 2.088 | 43.34 | 39.1 |
| 1.981 | 45.80 | 21.0 |
| 1.652 | 55.64 | 19.7 |
| 1.476 | 62.96 | 12.6 |
| 1.437 | 64.90 | 14.5 |

Structural model:
Cell: 4.1717 4.1799 24.7535 Å, 90.00 90.00 90.00°
Space group Immm (No. 71)
One atom of each set of equivalent atoms:
Pr  0.0000  0.0000  0.1449
Sm  0.0000  0.5000  0.0000
Zn  0.0000  0.0000  0.4059
Zn  0.0000  0.5000  0.2498
Si  0.0000  0.0000  0.3088
Si  0.0000  0.5000  0.4526



GdTm2Mg4Al2: theoretical XRD peak list (Cu Kα, 1.54184 Å), based on the GGA-PBE geometry in OQMD.

Main lines, sorted by position (2θ = 5–70°):
| d_spacing | 2θ (°) | I/Imax |
| --- | --- | --- |
| 4.561 | 19.46 | 65.2 |
| 3.728 | 23.87 | 49.1 |
| 3.240 | 27.53 | 26.5 |
| 3.213 | 27.77 | 50.8 |
| 2.888 | 30.97 | 68.9 |
| 2.873 | 31.13 | 37.4 |
| 2.641 | 33.94 | 50.4 |
| 2.627 | 34.14 | 100.0 |
| 2.280 | 39.52 | 31.5 |
| 1.664 | 55.19 | 29.5 |

Structural model:
Cell: 4.5608 12.9601 7.3988 Å, 90.00 90.00 90.00°
Space group Amm2 (No. 38)
One atom of each set of equivalent atoms:
Gd  0.0000  0.0000  0.0000
Tm  0.0000  0.2190  0.3464
Mg  0.0000  0.0000  0.5596
Mg  0.5000  0.0000  0.3140
Mg  0.5000  0.1246  0.6882
Al  0.5000  0.1682  0.0654



La3Ag4Sn2Ge2: theoretical XRD peak list (Cu Kα, 1.54184 Å), based on the GGA-PBE geometry in OQMD.

Main lines, sorted by position (2θ = 5–70°):
| d_spacing | 2θ (°) | I/Imax |
| --- | --- | --- |
| 2.856 | 31.32 | 28.6 |
| 2.825 | 31.68 | 86.7 |
| 2.764 | 32.39 | 100.0 |
| 2.588 | 34.66 | 18.7 |
| 2.512 | 35.75 | 29.1 |
| 2.340 | 38.48 | 46.2 |
| 2.197 | 41.09 | 25.0 |
| 2.109 | 42.89 | 18.0 |
| 1.810 | 50.42 | 15.2 |
| 1.601 | 57.55 | 17.8 |

Structural model:
Cell: 4.6795 7.2775 15.5274 Å, 90.00 90.00 90.00°
Space group Immm (No. 71)
One atom of each set of equivalent atoms:
La  0.0000  0.0000  0.0000
La  0.0000  0.5000  0.1251
Ag  0.0000  0.3049  0.3386
Sn  0.0000  0.0000  0.2167
Ge  0.0000  0.1796  0.5000



Li4ZnCuSn2: theoretical XRD peak list (Cu Kα, 1.54184 Å), based on the GGA-PBE geometry in OQMD.

Main lines, sorted by position (2θ = 5–70°):
| d_spacing | 2θ (°) | I/Imax |
| --- | --- | --- |
| 3.660 | 24.32 | 100.0 |
| 3.170 | 28.15 | 7.4 |
| 2.242 | 40.23 | 93.0 |
| 1.912 | 47.57 | 50.2 |
| 1.830 | 49.82 | 2.3 |
| 1.585 | 58.21 | 15.6 |
| 1.455 | 64.01 | 20.7 |
| 1.418 | 65.88 | 3.4 |

Structural model:
Cell: 4.4837 4.4837 6.3387 Å, 90.00 90.00 90.00°
Space group P-4m2 (No. 115)
One atom of each set of equivalent atoms:
Li  0.0000  0.0000  0.0000
Li  0.0000  0.5000  0.2454
Li  0.5000  0.5000  0.5000
Zn  0.0000  0.0000  0.5000
Cu  0.5000  0.5000  0.0000
Sn  0.0000  0.5000  0.7588



NbAg3O4: theoretical XRD peak list (Cu Kα, 1.54184 Å), based on the GGA-PBE geometry in OQMD.

Main lines, sorted by position (2θ = 5–70°):
| d_spacing | 2θ (°) | I/Imax |
| --- | --- | --- |
| 4.759 | 18.65 | 9.4 |
| 2.957 | 30.22 | 92.5 |
| 2.737 | 32.72 | 100.0 |
| 2.605 | 34.43 | 28.0 |
| 2.543 | 35.30 | 22.7 |
| 2.272 | 39.67 | 20.2 |
| 1.819 | 50.15 | 31.0 |
| 1.694 | 54.13 | 19.5 |
| 1.624 | 56.69 | 11.9 |
| 1.439 | 64.79 | 10.2 |

Structural model:
Cell: 10.0154 5.0857 10.4890 Å, 90.00 114.85 90.00°
Space group C2/c (No. 15)
One atom of each set of equivalent atoms:
Nb  0.0000  0.0423  0.2500
Ag  0.0000  0.5000  0.0000
Ag  0.2334  0.0497  0.5896
O  0.0934  0.1785  0.9066
O  0.1362  0.2548  0.2158



Question: What is the formula in the first record?
Answer: Gd2Al2O5